This entry pairs a crystal structure of Nd4TlAg5 with its simulated X-ray powder pattern. Radiation: CuKα. Structure: the GGA-PBE geometry in Alexandria.
Kinematic intensities with the Lorentz-polarization factor, no thermal factor.

Largest 12 diffraction maxima, by intensity, 5 to 70 degrees two-theta:
hkl 1 0 5, 2θ = 34.40°, I 100; hkl 1 1 0, 2θ = 33.41°, I 57; hkl 2 1 5, 2θ = 60.35°, I 38; hkl 2 0 0, 2θ = 47.97°, I 20; hkl 1 1 10, 2θ = 62.24°, I 15; hkl 0 0 10, 2θ = 50.88°, I 7; hkl 1 0 0, 2θ = 23.45°, I 3; hkl 1 0 6, 2θ = 38.32°, I 3; hkl 1 1 11, 2θ = 67.15°, I 2; hkl 2 1 6, 2θ = 62.99°, I 2; hkl 1 1 5, 2θ = 42.05°, I 1; hkl 0 0 5, 2θ = 24.80°, I 1

Cell and atoms:
```
Nd4TlAg5
1.0
3.7933 0.0000 0.0000
0.0000 3.7933 0.0000
0.0000 0.0000 17.9473
Nd Tl Ag
4 1 5
Direct
0.0000 0.0000 0.1045
0.0000 0.0000 0.3104
0.0000 0.0000 0.6896
0.0000 0.0000 0.8955
0.0000 0.0000 0.5000
0.5000 0.5000 0.0000
0.5000 0.5000 0.2078
0.5000 0.5000 0.4057
0.5000 0.5000 0.5943
0.5000 0.5000 0.7922
```